(1)
Starting from a crystal structure in the Materials Project, relaxed with GGA-PBE, the powder diffractogram of Sr2DyBiO6 was simulated for Cu Kα.

Cell and atoms:
```
Sr2DyBiO6
1.0
5.938 0.000 0.000
0.000 6.101 0.000
-5.930 0.000 8.488
Sr Dy Bi O
4 2 2 12
direct
0.235 0.047 0.248
0.235 0.453 0.748
0.765 0.547 0.252
0.765 0.953 0.752
0.000 0.000 0.500
0.000 0.500 0.000
0.500 0.000 0.000
0.500 0.500 0.500
0.165 0.200 0.954
0.165 0.300 0.454
0.249 0.714 0.948
0.249 0.786 0.448
0.349 0.035 0.757
0.349 0.465 0.257
0.651 0.535 0.743
0.651 0.965 0.243
0.751 0.214 0.552
0.751 0.286 0.052
0.835 0.700 0.546
0.835 0.800 0.046
```

Peak list (10 most intense, 10 to 90 degrees two-theta, in order of falling intensity)
2θ (°)  I (rel.)
29.73  100
20.89  33
42.49  24
29.28  24
30.10  24
53.22  23
52.20  18
61.74  15
42.60  13
53.04  11

***

(2)
Starting from a crystal structure in the Materials Project, relaxed with GGA-PBE, the powder diffractogram of Sr2DyBiO6 was simulated for Cu Kα.

Cell and atoms:
```
Sr2DyBiO6
1.0
8.533 0.000 0.000
0.000 8.533 0.000
0.000 0.000 8.533
Sr Dy Bi O
8 4 4 24
direct
0.250 0.250 0.250
0.250 0.250 0.750
0.250 0.750 0.250
0.250 0.750 0.750
0.750 0.250 0.250
0.750 0.250 0.750
0.750 0.750 0.250
0.750 0.750 0.750
0.000 0.000 0.000
0.000 0.500 0.500
0.500 0.000 0.500
0.500 0.500 0.000
0.000 0.000 0.500
0.000 0.500 0.000
0.500 0.000 0.000
0.500 0.500 0.500
0.035 0.544 0.756
0.035 0.956 0.744
0.044 0.244 0.535
0.044 0.256 0.965
0.244 0.535 0.044
0.244 0.965 0.456
0.256 0.535 0.456
0.256 0.965 0.044
0.456 0.244 0.965
0.456 0.256 0.535
0.465 0.544 0.744
0.465 0.956 0.756
0.535 0.044 0.244
0.535 0.456 0.256
0.544 0.744 0.465
0.544 0.756 0.035
0.744 0.035 0.956
0.744 0.465 0.544
0.756 0.035 0.544
0.756 0.465 0.956
0.956 0.744 0.035
0.956 0.756 0.465
0.965 0.044 0.256
0.965 0.456 0.244
```

Peak list (10 most intense, 10 to 90 degrees two-theta, in order of falling intensity)
2θ (°)  I (rel.)
29.61  100
52.54  46
42.37  27
85.07  24
20.82  21
69.69  19
61.47  16
47.66  10
77.50  5
65.65  4

***

(3)
Starting from a crystal structure in the Materials Project, relaxed with GGA-PBE, the powder diffractogram of Sr2DyBiO6 was simulated for Cu Kα.

Cell and atoms:
```
Sr2DyBiO6
1.0
0.000 4.297 4.297
4.297 0.000 4.297
4.297 4.297 0.000
Sr Dy Bi O
2 1 1 6
direct
0.250 0.250 0.250
0.750 0.750 0.750
0.000 0.000 0.000
0.500 0.500 0.500
0.255 0.255 0.745
0.255 0.745 0.255
0.255 0.745 0.745
0.745 0.255 0.255
0.745 0.255 0.745
0.745 0.745 0.255
```

Peak list (10 most intense, 10 to 90 degrees two-theta, in order of falling intensity)
2θ (°)  I (rel.)
29.39  100
52.13  42
42.05  30
20.67  23
84.32  22
60.98  19
69.12  19
47.30  11
76.84  6
65.12  5

***

(4)
Starting from a crystal structure in the Materials Project, relaxed with GGA-PBE, the powder diffractogram of DyBiPt was simulated for Cu Kα.

Cell and atoms:
```
DyBiPt
1.0
0.000 3.372 3.372
3.372 0.000 3.372
3.372 3.372 0.000
Dy Bi Pt
1 1 1
direct
0.000 0.000 0.000
0.500 0.500 0.500
0.250 0.250 0.250
```

Peak list (10 most intense, 10 to 90 degrees two-theta, in order of falling intensity)
2θ (°)  I (rel.)
37.73  100
68.11  36
22.84  30
54.42  18
44.56  16
26.43  12
80.57  12
59.77  7
85.10  5
72.87  5

***

(5)
Starting from a crystal structure in the Materials Project, relaxed with GGA-PBE, the powder diffractogram of Dy5BiPt2 was simulated for Cu Kα.

Cell and atoms:
```
Dy5BiPt2
1.0
-3.897 3.897 6.938
3.897 -3.897 6.938
3.897 3.897 -6.938
Dy Bi Pt
10 2 4
direct
0.000 0.000 0.000
0.022 0.522 0.814
0.207 0.022 0.500
0.293 0.793 0.814
0.478 0.293 0.500
0.500 0.500 0.000
0.522 0.707 0.500
0.707 0.207 0.186
0.793 0.978 0.500
0.978 0.478 0.186
0.250 0.250 0.000
0.750 0.750 0.000
0.138 0.362 0.500
0.362 0.862 0.224
0.638 0.138 0.776
0.862 0.638 0.500
```

Peak list (10 most intense, 10 to 90 degrees two-theta, in order of falling intensity)
2θ (°)  I (rel.)
32.16  100
36.46  63
41.60  26
34.62  25
65.85  21
30.45  18
67.86  17
12.76  15
32.50  11
52.78  11

***

(6)
Starting from a crystal structure in the Materials Project, relaxed with GGA-PBE, the powder diffractogram of DyBiRh was simulated for Cu Kα.

Cell and atoms:
```
DyBiRh
1.0
7.682 0.000 0.000
-3.841 6.652 0.000
0.000 0.000 3.990
Dy Bi Rh
3 3 3
direct
0.000 0.601 0.000
0.399 0.399 0.000
0.601 0.000 0.000
0.000 0.266 0.500
0.266 0.000 0.500
0.734 0.734 0.500
0.000 0.000 0.000
0.333 0.667 0.500
0.667 0.333 0.500
```

Peak list (10 most intense, 10 to 90 degrees two-theta, in order of falling intensity)
2θ (°)  I (rel.)
32.35  100
35.12  56
35.71  44
40.69  35
65.48  29
42.50  21
59.11  21
45.46  21
62.64  20
75.66  15

***

(7)
Starting from a crystal structure in the Materials Project, relaxed with GGA-PBE, the powder diffractogram of ErBi3 was simulated for Cu Kα.

Cell and atoms:
```
ErBi3
1.0
6.823 0.000 0.000
-3.412 5.909 0.000
0.000 0.000 6.005
Er Bi
2 6
direct
0.333 0.667 0.250
0.667 0.333 0.750
0.173 0.345 0.750
0.173 0.827 0.750
0.345 0.173 0.250
0.655 0.827 0.750
0.827 0.173 0.250
0.827 0.655 0.250
```

Peak list (10 most intense, 10 to 90 degrees two-theta, in order of falling intensity)
2θ (°)  I (rel.)
33.81  100
29.76  31
55.45  25
62.64  23
30.25  22
53.74  18
42.95  17
65.02  15
89.20  14
86.33  10

***

(8)
Starting from a crystal structure in the Materials Project, relaxed with GGA-PBE, the powder diffractogram of ErBi3 was simulated for Cu Kα.

Cell and atoms:
```
ErBi3
1.0
4.936 0.000 0.000
0.000 4.936 0.000
0.000 0.000 4.936
Er Bi
1 3
direct
0.000 0.000 0.000
0.000 0.500 0.500
0.500 0.000 0.500
0.500 0.500 0.000
```

Peak list (10 most intense, 10 to 90 degrees two-theta, in order of falling intensity)
2θ (°)  I (rel.)
31.39  100
36.40  51
62.39  44
52.43  37
85.80  19
88.60  18
65.50  13
77.32  6
17.97  1
25.52  1

***

(9)
Starting from a crystal structure in the Materials Project, relaxed with GGA-PBE, the powder diffractogram of Ho9Er3Mn2Bi4 was simulated for Cu Kα.

Cell and atoms:
```
Ho9Er3Mn2Bi4
1.0
8.241 0.000 0.000
0.000 4.281 0.000
-0.001 0.000 14.269
Ho Er Mn Bi
9 3 2 4
direct
0.000 0.000 0.000
0.000 0.000 0.233
0.313 0.500 0.313
0.313 0.500 0.920
0.351 0.000 0.116
0.500 0.000 0.500
0.500 0.000 0.733
0.813 0.500 0.420
0.851 0.000 0.617
0.225 0.500 0.616
0.725 0.500 0.116
0.813 0.500 0.813
0.117 0.500 0.117
0.617 0.500 0.617
0.117 0.000 0.450
0.117 0.000 0.783
0.617 0.000 0.283
0.617 0.000 0.950
```

Peak list (10 most intense, 10 to 90 degrees two-theta, in order of falling intensity)
2θ (°)  I (rel.)
30.10  100
32.67  54
33.22  54
39.49  32
37.82  31
54.75  26
42.22  22
60.55  21
63.58  20
57.96  18

***

(10)
Starting from a crystal structure in the Materials Project, relaxed with GGA-PBE, the powder diffractogram of Ho3Er9Mn2Bi4 was simulated for Cu Kα.

Cell and atoms:
```
Ho3Er9Mn2Bi4
1.0
8.229 0.000 0.000
0.000 4.274 0.000
-0.001 0.000 14.241
Ho Er Mn Bi
3 9 2 4
direct
0.000 0.000 0.000
0.150 0.000 0.384
0.500 0.000 0.500
0.150 0.000 0.616
0.375 0.500 0.000
0.463 0.500 0.304
0.463 0.500 0.696
0.650 0.000 0.116
0.650 0.000 0.884
0.875 0.500 0.500
0.963 0.500 0.196
0.963 0.500 0.804
0.267 0.500 0.500
0.766 0.500 0.000
0.267 0.000 0.167
0.267 0.000 0.833
0.767 0.000 0.333
0.767 0.000 0.667
```

Peak list (10 most intense, 10 to 90 degrees two-theta, in order of falling intensity)
2θ (°)  I (rel.)
30.16  100
32.73  54
33.28  54
39.56  32
37.89  30
54.85  26
42.29  22
60.67  21
63.70  21
58.07  18

***

(11)
Starting from a crystal structure in the Materials Project, relaxed with GGA-PBE, the powder diffractogram of Er6MnBi2 was simulated for Cu Kα.

Cell and atoms:
```
Er6MnBi2
1.0
8.241 0.000 0.000
-4.120 7.137 0.000
0.000 0.000 4.258
Er Mn Bi
6 1 2
direct
0.000 0.233 0.000
0.000 0.611 0.500
0.233 0.000 0.000
0.389 0.389 0.500
0.611 0.000 0.500
0.767 0.767 0.000
0.000 0.000 0.500
0.333 0.667 0.000
0.667 0.333 0.000
```

Peak list (10 most intense, 10 to 90 degrees two-theta, in order of falling intensity)
2θ (°)  I (rel.)
30.18  100
33.21  53
32.74  52
39.55  33
37.82  31
54.94  26
42.46  22
60.59  21
63.62  21
58.15  18

***

(12)
Starting from a crystal structure in the Materials Project, relaxed with GGA-PBE, the powder diffractogram of ErNiBi was simulated for Cu Kα.

Cell and atoms:
```
ErNiBi
1.0
0.000 3.225 3.225
3.225 0.000 3.225
3.225 3.225 0.000
Er Ni Bi
1 1 1
direct
0.000 0.000 0.000
0.250 0.250 0.250
0.500 0.500 0.500
```

Peak list (10 most intense, 10 to 90 degrees two-theta, in order of falling intensity)
2θ (°)  I (rel.)
39.52  100
27.66  62
71.68  35
64.62  24
48.92  18
57.12  17
85.08  11
23.90  8
46.71  4
62.80  2